The following is a calculated powder diffraction line list of SnNF3. It was derived from DFT lattice parameters and positions (PBE), using Cu Kα (weighted mean of Kα1 and Kα2).
Neutral-atom scattering factors, no anomalous dispersion.

Principal peaks in the range 2θ from 5° to 70°, sorted by position:
(0 0 1), 6.621 Å, 2θ 13.37, intensity 100.0; (1 1 0), 3.334 Å, 2θ 26.74, intensity 8.7; (0 2 0), 3.185 Å, 2θ 28.02, intensity 16.7; (1 0 1), 3.059 Å, 2θ 29.19, intensity 23.7; (0 2 1), 2.981 Å, 2θ 29.98, intensity 10.7; (1 1 -1), 2.857 Å, 2θ 31.31, intensity 14.1; (1 0 2), 2.426 Å, 2θ 37.05, intensity 8.4; (1 2 2), 2.220 Å, 2θ 40.64, intensity 9.4; (-1 1 2), 2.081 Å, 2θ 43.50, intensity 14.0; (2 1 0), 1.731 Å, 2θ 52.90, intensity 9.0

Structural model:
```
SnNF3
1.0
3.475 0.000 0.000
1.736 6.398 0.000
0.573 0.621 6.621
Sn N F
2 2 6
Cartesian
1.155 1.742 2.953 Sn
4.628 5.277 3.667 Sn
2.890 5.918 2.488 N
2.893 1.101 4.132 N
1.153 3.613 2.107 F
2.891 5.358 4.972 F
2.885 5.607 1.111 F
2.898 1.413 5.510 F
2.892 1.661 1.649 F
4.630 3.406 4.514 F
```